Structure and computed powder XRD pattern of UI4 (a cell relaxed with PBE; CuKα).
Neutral-atom scattering factors, no anomalous dispersion.

Main lines, in order of rising 2θ (2θ = 15–90°):
| 2θ/deg | I (rel.) |
| --- | --- |
| 15.31 | 100 |
| 15.69 | 33 |
| 21.07 | 49 |
| 25.02 | 38 |
| 29.68 | 89 |
| 31.67 | 50 |
| 34.41 | 38 |
| 38.65 | 37 |

Lattice parameters (Å, degrees): 9.6090 9.6090 8.1791 92.80 92.80 117.69
Fractional positions:
U: 0.0804 0.9196 0.7500
U: 0.9196 0.0804 0.2500
I: 0.0076 0.5939 0.7712
I: 0.1600 0.2180 0.5570
I: 0.2180 0.1600 0.0570
I: 0.4061 0.9924 0.7288
I: 0.5939 0.0076 0.2712
I: 0.7820 0.8400 0.9430
I: 0.8400 0.7820 0.4430
I: 0.9924 0.4061 0.2288